No. 1
For Mg, a DFT-relaxed cell (PBE, the Materials Project) gives the theoretical powder diffractogram in this record (Cu Kα (weighted mean of Kα1 and Kα2)).
Intensities are scaled so that the largest is 100.

Lattice parameters (Å, degrees): 3.0551 3.0551 3.1598 90.00 90.00 120.00
Space group P6/mmm (No. 191)
Unique sites:
Mg (0.0000, 0.0000, 0.0000) (multiplicity 1)

Principal peaks in the range 15 to 90 degrees two-theta, in order of rising 2θ:
28.24 deg, I = 55, (0 0 1)
33.88 deg, I = 100, (1 0 0)
44.67 deg, I = 90, (1 0 1)
60.62 deg, I = 17, (1 1 0)
68.19 deg, I = 24, (1 1 1)
69.27 deg, I = 23, (1 0 2)
78.36 deg, I = 15, (2 0 1)
89.18 deg, I = 11, (1 1 2)

=====

No. 2
For CoCl2, a DFT-relaxed cell (PBE, the Materials Project) gives the theoretical powder diffractogram in this record (Cu Kα (weighted mean of Kα1 and Kα2)).
Intensities are scaled so that the largest is 100.

Lattice parameters (Å, degrees): 3.5248 3.5248 18.2447 90.00 90.00 120.00
Space group R-3m (No. 166, hexagonal axes)
Unique sites:
Co (0.0000, 0.0000, 0.0000) (multiplicity 3)
Cl (0.0000, 0.0000, 0.2602) (multiplicity 6)

Principal peaks in the range 15 to 90 degrees two-theta, in order of rising 2θ:
29.67 deg, I = 31, (1 0 1)
35.38 deg, I = 100, (1 0 4)
45.78 deg, I = 23, (1 0 7)
49.92 deg, I = 30, (0 1 8)
51.88 deg, I = 31, (1 1 0)
54.18 deg, I = 18, (1 1 3)
64.37 deg, I = 15, (0 2 4)
84.08 deg, I = 13, (1 1 12)

=====

No. 3
For MgTi3P3O13, a DFT-relaxed cell (PBE, the Materials Project) gives the theoretical powder diffractogram in this record (Cu Kα (weighted mean of Kα1 and Kα2)).
Intensities are scaled so that the largest is 100.

Lattice parameters (Å, degrees): 7.7310 6.4164 10.2419 90.00 99.74 90.00
Space group P2_1/m (No. 11)
Unique sites:
Mg (0.1149, 0.2500, 0.1701) (multiplicity 2)
Ti (0.1478, 0.2500, 0.7969) (multiplicity 2)
Ti (0.2916, 0.7500, 0.4316) (multiplicity 2)
Ti (0.5000, 0.0000, 0.0000) (multiplicity 2)
P (0.1790, 0.7500, 0.1124) (multiplicity 2)
P (0.2267, 0.7500, 0.7600) (multiplicity 2)
P (0.2771, 0.2500, 0.5010) (multiplicity 2)
O (0.0076, 0.2500, 0.9729) (multiplicity 2)
O (0.1063, 0.5652, 0.7860) (multiplicity 4)
O (0.1310, 0.7500, 0.2551) (multiplicity 2)
O (0.1563, 0.2500, 0.6048) (multiplicity 2)
O (0.2463, 0.0601, 0.4072) (multiplicity 4)
O (0.2722, 0.7500, 0.6208) (multiplicity 2)
O (0.2810, 0.5453, 0.0984) (multiplicity 4)
O (0.3683, 0.2500, 0.9012) (multiplicity 2)
O (0.3988, 0.7500, 0.8643) (multiplicity 2)
O (0.4711, 0.2500, 0.5780) (multiplicity 2)

Principal peaks in the range 15 to 90 degrees two-theta, in order of rising 2θ:
19.38 deg, I = 100, (1 0 -2)
22.72 deg, I = 41, (1 0 2)
23.35 deg, I = 51, (2 0 0)
26.36 deg, I = 49, (2 0 1)
27.81 deg, I = 83, (0 2 0)
30.81 deg, I = 64, (1 0 3)
32.10 deg, I = 61, (1 2 1)
38.78 deg, I = 31, (0 2 3)